For LiVCo3P6O24, a cell relaxed with PBE+U gives the computed X-ray diffraction stick pattern in this record (Cu Kα X-rays).
No peak broadening, texture or thermal motion is included.

Crystal structure
a b c (Å): 8.2327 8.2327 21.3670
angles (deg): 90.00 90.00 120.00
Space group R3 (No. 146, hexagonal axes)
One atom of each set of equivalent atoms:
Li 0.0000 0.0000 0.0000 (multiplicity 3)
V 0.0000 0.0000 0.1525 (multiplicity 3)
Co 0.0000 0.0000 0.3654 (multiplicity 3)
Co 0.0000 0.0000 0.6564 (multiplicity 3)
Co 0.0000 0.0000 0.8684 (multiplicity 3)
P 0.0015 0.7246 0.7593 (multiplicity 9)
P 0.0448 0.3776 0.9298 (multiplicity 9)
O 0.0025 0.1895 0.2008 (multiplicity 9)
O 0.0024 0.8087 0.8236 (multiplicity 9)
O 0.0101 0.8251 0.0961 (multiplicity 9)
O 0.0874 0.8630 0.4175 (multiplicity 9)
O 0.0870 0.8714 0.7057 (multiplicity 9)
O 0.1685 0.4766 0.5928 (multiplicity 9)
O 0.1912 0.4426 0.9830 (multiplicity 9)
O 0.2029 0.4478 0.2713 (multiplicity 9)

The 10 most intense peaks (2θ from 10° to 80°), by angle:
h k l	Position (°2θ)	d (Å)	Rel. int.
0 1 2	14.94	5.930	53
1 0 4	20.78	4.275	71
1 1 0	21.59	4.116	37
1 1 3	24.99	3.564	100
0 2 4	30.14	2.965	59
2 -1 6	33.27	2.693	48
3 0 0	37.86	2.376	16
4 -2 6	51.27	1.782	17
3 -1 10	54.83	1.674	16
4 1 0	59.41	1.556	16